Computed powder diffractogram of Cd3In5Cl12 for copper Kα, from a structure optimized by DFT (GGA-PBE).
No peak broadening, texture or thermal motion is included.

The 8 most intense peaks (10 to 90 degrees two-theta), by angle:
24.30°, I 100, (3 0 0); 26.21°, I 96, (1 1 1); 30.93°, I 71, (2 1 1); 36.04°, I 78, (2 2 1); 42.76°, I 30, (3 3 0); 43.95°, I 65, (4 1 1); 45.02°, I 24, (0 0 2); 51.81°, I 26, (3 0 2)

Structure:
```
data_Cd3In5Cl12
_chemical_formula_sum 'Cd3 In5 Cl12'
_cell_length_a 12.6884
_cell_length_b 12.6884
_cell_length_c 4.0273
_cell_angle_alpha 90.00
_cell_angle_beta 90.00
_cell_angle_gamma 120.00
_symmetry_space_group_name_H-M 'P 1'
_symmetry_Int_Tables_number 1
loop_
_symmetry_equiv_pos_as_xyz
'x,y,z'
loop_
_atom_site_label
_atom_site_fract_x
_atom_site_fract_y
_atom_site_fract_z
Cd1 0.0000 0.3291 0.0000
Cd2 0.3291 0.0000 0.0000
Cd3 0.6709 0.6709 0.0000
In1 0.0000 0.7126 0.5000
In2 0.2874 0.2874 0.5000
In3 0.3333 0.6667 0.5000
In4 0.6667 0.3333 0.5000
In5 0.7126 0.0000 0.5000
Cl1 0.0000 0.1876 0.5000
Cl2 0.0000 0.4669 0.5000
Cl3 0.1876 0.0000 0.5000
Cl4 0.2044 0.7550 0.0000
Cl5 0.2450 0.4495 0.0000
Cl6 0.4495 0.2450 0.0000
Cl7 0.4669 0.0000 0.5000
Cl8 0.5331 0.5331 0.5000
Cl9 0.5505 0.7956 0.0000
Cl10 0.7550 0.2044 0.0000
Cl11 0.7956 0.5505 0.0000
Cl12 0.8124 0.8124 0.5000
```